Cs4ErNp3O12: simulated PXRD pattern (copper Kα), based on DFT lattice parameters and positions (PBE).
Peak positions follow from Bragg's law for the DFT cell and can differ from measured ones.

Cell and atoms:
```
data_Cs4ErNp3O12
_chemical_formula_sum 'Cs8 Er2 Np6 O24'
_space_group_name_H-M_alt 'I m -3 m'
_space_group_IT_number 229
_space_group_name_Hall '-I 4 2 3'
_cell_length_a 8.773
_cell_length_b 8.773
_cell_length_c 8.773
_cell_angle_alpha 90.00
_cell_angle_beta 90.00
_cell_angle_gamma 90.00
loop_
_atom_site_label
_atom_site_fract_x
_atom_site_fract_y
_atom_site_fract_z
Cs1 0.250 0.250 0.250
Er1 0.000 0.000 0.000
Np1 0.000 0.000 0.500
O1 0.000 0.000 0.268
O2 0.000 0.250 0.500
```

Peak list (10 most intense, 2θ from 5° to 70°, by angle)
hkl, 2θ/deg, Rel. int.
1 1 0, 14.28, 2
2 0 0, 20.24, 11
2 1 1, 24.86, 1
2 2 0, 28.78, 100
4 0 0, 41.16, 27
4 2 0, 46.28, 5
4 2 2, 50.99, 42
4 4 0, 59.61, 18
6 0 0, 63.64, 3
6 2 0, 67.52, 19


Cs3ErNp2Se6: simulated PXRD pattern (copper Kα), based on DFT lattice parameters and positions (PBE).
Peak positions follow from Bragg's law for the DFT cell and can differ from measured ones.

Cell and atoms:
```
data_Cs3ErNp2Se6
_chemical_formula_sum 'Cs6 Er2 Np4 Se12'
_space_group_name_H-M_alt 'C 1 2/m 1'
_space_group_IT_number 12
_space_group_name_Hall '-C 2y'
_cell_length_a 7.452
_cell_length_b 12.907
_cell_length_c 8.733
_cell_angle_alpha 90.00
_cell_angle_beta 106.53
_cell_angle_gamma 90.00
loop_
_atom_site_label
_atom_site_fract_x
_atom_site_fract_y
_atom_site_fract_z
Cs1 0.000 0.000 0.000
Cs2 0.000 0.333 0.000
Er1 0.000 0.500 0.500
Np1 0.000 0.167 0.500
Se1 0.226 0.336 0.685
Se2 0.233 0.000 0.685
```

Peak list (10 most intense, 2θ from 5° to 70°, by angle)
hkl, 2θ/deg, Rel. int.
0 0 1, 10.57, 26
0 0 2, 21.23, 15
2 0 0, 24.93, 19
1 3 1, 27.84, 100
2 0 2, 37.46, 34
0 6 0, 42.00, 36
1 3 3, 43.45, 18
3 3 1, 47.52, 11
4 0 0, 51.14, 19
4 6 0, 68.25, 16


Cs4Er3NpTe8: simulated PXRD pattern (copper Kα), based on DFT lattice parameters and positions (PBE).
Peak positions follow from Bragg's law for the DFT cell and can differ from measured ones.

Cell and atoms:
```
data_Cs4Er3NpTe8
_chemical_formula_sum 'Cs12 Er9 Np3 Te24'
_space_group_name_H-M_alt 'R -3 m'
_space_group_IT_number 166
_space_group_name_Hall '-R 3 2"'
_cell_length_a 9.1249
_cell_length_b 9.1249
_cell_length_c 26.6884
_cell_angle_alpha 90.00
_cell_angle_beta 90.00
_cell_angle_gamma 120.00
loop_
_atom_site_label
_atom_site_fract_x
_atom_site_fract_y
_atom_site_fract_z
Cs1 0.0000 0.0000 0.0000
Cs2 0.0000 0.5000 0.0000
Er1 0.0000 0.5000 0.5000
Np1 0.0000 0.0000 0.5000
Te1 0.0000 0.0000 0.2292
Te2 0.0063 0.5032 0.7705
```

Peak list (10 most intense, 2θ from 5° to 70°, by angle)
hkl, 2θ/deg, Rel. int.
0 0 3, 9.94, 22
0 2 4, 26.21, 100
0 2 7, 32.64, 12
2 0 8, 35.21, 32
2 2 0, 39.50, 38
0 2 10, 40.82, 11
4 0 4, 48.03, 19
0 4 8, 53.94, 9
2 4 4, 63.87, 17
4 2 8, 68.88, 9


CsErPdO3: simulated PXRD pattern (copper Kα), based on DFT lattice parameters and positions (PBE).
Peak positions follow from Bragg's law for the DFT cell and can differ from measured ones.

Cell and atoms:
```
data_CsErPdO3
_chemical_formula_sum 'Cs4 Er4 Pd4 O12'
_space_group_name_H-M_alt 'C 1 2/m 1'
_space_group_IT_number 12
_space_group_name_Hall '-C 2y'
_cell_length_a 13.094
_cell_length_b 3.918
_cell_length_c 8.219
_cell_angle_alpha 90.00
_cell_angle_beta 103.32
_cell_angle_gamma 90.00
loop_
_atom_site_label
_atom_site_fract_x
_atom_site_fract_y
_atom_site_fract_z
Cs1 0.143 0.000 0.068
Er1 0.150 0.000 0.567
Pd1 0.011 0.500 0.302
O1 0.009 0.000 0.342
O2 0.149 0.500 0.734
O3 0.176 0.500 0.385
```

Peak list (10 most intense, 2θ from 5° to 70°, by angle)
hkl, 2θ/deg, Rel. int.
0 0 1, 11.06, 22
2 0 2, 28.97, 31
3 1 0, 31.06, 51
1 1 -2, 31.61, 100
6 0 0, 42.57, 12
0 2 0, 46.35, 15
1 1 4, 53.37, 12
7 1 -2, 55.61, 24
5 1 -4, 56.65, 10
4 2 -2, 57.19, 12


Cs4Pr3ErO8: simulated PXRD pattern (copper Kα), based on DFT lattice parameters and positions (PBE).
Peak positions follow from Bragg's law for the DFT cell and can differ from measured ones.

Cell and atoms:
```
data_Cs4Pr3ErO8
_chemical_formula_sum 'Cs12 Pr9 Er3 O24'
_space_group_name_H-M_alt 'R -3 m'
_space_group_IT_number 166
_space_group_name_Hall '-R 3 2"'
_cell_length_a 7.3715
_cell_length_b 7.3715
_cell_length_c 20.8336
_cell_angle_alpha 90.00
_cell_angle_beta 90.00
_cell_angle_gamma 120.00
loop_
_atom_site_label
_atom_site_fract_x
_atom_site_fract_y
_atom_site_fract_z
Cs1 0.0000 0.0000 0.0000
Cs2 0.0000 0.5000 0.0000
Pr1 0.0000 0.5000 0.5000
Er1 0.0000 0.0000 0.5000
O1 0.0000 0.0000 0.2236
O2 0.0131 0.5065 0.2227
```

Peak list (10 most intense, 2θ from 5° to 70°, by angle)
hkl, 2θ/deg, Rel. int.
0 0 6, 25.66, 46
2 0 2, 29.26, 89
0 2 4, 32.91, 100
2 0 8, 44.92, 36
2 2 0, 49.46, 32
0 2 10, 52.45, 23
2 2 6, 56.53, 32
0 4 2, 58.51, 13
4 0 4, 60.69, 16
2 0 14, 69.72, 11


CsEr2RuO8: simulated PXRD pattern (copper Kα), based on DFT lattice parameters and positions (PBE).
Peak positions follow from Bragg's law for the DFT cell and can differ from measured ones.

Cell and atoms:
```
data_CsEr2RuO8
_chemical_formula_sum 'Cs1 Er2 Ru1 O8'
_space_group_name_H-M_alt 'P -1'
_space_group_IT_number 2
_space_group_name_Hall '-P 1'
_cell_length_a 4.659
_cell_length_b 4.686
_cell_length_c 7.821
_cell_angle_alpha 95.99
_cell_angle_beta 96.29
_cell_angle_gamma 96.04
loop_
_atom_site_label
_atom_site_fract_x
_atom_site_fract_y
_atom_site_fract_z
Cs1 0.000 0.000 0.000
Er1 0.447 0.448 0.716
Ru1 0.000 0.000 0.500
O1 0.088 0.710 0.324
O2 0.281 0.279 0.436
O3 0.291 0.912 0.677
O4 0.391 0.606 0.000
```

Peak list (10 most intense, 2θ from 5° to 70°, by angle)
hkl, 2θ/deg, Rel. int.
1 -1 0, 25.65, 78
1 0 -2, 28.32, 100
1 1 0, 28.94, 50
0 1 2, 31.88, 28
1 0 2, 32.04, 28
0 2 0, 38.92, 18
2 0 0, 39.18, 17
-2 1 2, 46.90, 30
2 -1 2, 49.52, 17
2 0 -4, 58.58, 19


Cs3Er3PaS8: simulated PXRD pattern (copper Kα), based on DFT lattice parameters and positions (PBE).
Peak positions follow from Bragg's law for the DFT cell and can differ from measured ones.

Cell and atoms:
```
data_Cs3Er3PaS8
_chemical_formula_sum 'Cs9 Er9 Pa3 S24'
_space_group_name_H-M_alt 'R -3 m'
_space_group_IT_number 166
_space_group_name_Hall '-R 3 2"'
_cell_length_a 8.0852
_cell_length_b 8.0852
_cell_length_c 24.5859
_cell_angle_alpha 90.00
_cell_angle_beta 90.00
_cell_angle_gamma 120.00
loop_
_atom_site_label
_atom_site_fract_x
_atom_site_fract_y
_atom_site_fract_z
Cs1 0.0000 0.5000 0.0000
Er1 0.0000 0.5000 0.5000
Pa1 0.0000 0.0000 0.5000
S1 0.0000 0.0000 0.2259
S2 0.0008 0.5004 0.2257
```

Peak list (10 most intense, 2θ from 5° to 70°, by angle)
hkl, 2θ/deg, Rel. int.
0 0 3, 10.80, 39
1 0 1, 13.15, 13
0 0 6, 21.69, 35
2 0 2, 26.47, 52
0 2 4, 29.36, 100
2 0 8, 39.00, 38
2 2 0, 44.84, 33
0 2 10, 45.06, 21
2 2 6, 50.34, 23
4 0 4, 54.51, 17


CsErPb5: simulated PXRD pattern (copper Kα), based on DFT lattice parameters and positions (PBE).
Peak positions follow from Bragg's law for the DFT cell and can differ from measured ones.

Cell and atoms:
```
data_CsErPb5
_chemical_formula_sum 'Cs1 Er1 Pb5'
_space_group_name_H-M_alt 'P 4/m m m'
_space_group_IT_number 123
_space_group_name_Hall '-P 4 2'
_cell_length_a 4.686
_cell_length_b 4.686
_cell_length_c 11.831
_cell_angle_alpha 90.00
_cell_angle_beta 90.00
_cell_angle_gamma 90.00
loop_
_atom_site_label
_atom_site_fract_x
_atom_site_fract_y
_atom_site_fract_z
Cs1 0.000 0.000 0.000
Er1 0.500 0.500 0.500
Pb1 0.000 0.000 0.500
Pb2 0.000 0.500 0.283
```

Peak list (10 most intense, 2θ from 5° to 70°, by angle)
hkl, 2θ/deg, Rel. int.
0 0 1, 7.47, 63
0 0 4, 30.22, 19
1 1 2, 30.93, 100
1 1 3, 35.38, 23
2 0 0, 38.42, 31
2 0 4, 49.64, 19
2 0 5, 55.17, 12
2 2 0, 55.46, 11
1 1 7, 61.60, 10
3 1 2, 64.87, 25